Computed powder XRD pattern of MgV2Rh2O8 for Cu Kα (weighted mean of Kα1 and Kα2), from a PBE+U-relaxed structure.

Structure:
a = 9.9903 Å, b = 6.4547 Å, c = 5.8720 Å
α = 90.00°, β = 124.14°, γ = 90.00°
Space group Cm (No. 8)
Symmetry-distinct sites (fractional):
Mg1 0.0000 0.0000 0.0000
V1 0.2041 0.5000 0.2075
V2 0.2968 0.0000 0.5268
Rh1 0.1773 0.5000 0.6427
Rh2 0.2515 0.0000 0.9622
O1 0.0105 0.5000 0.7487
O2 0.0227 0.5000 0.2230
O3 0.2032 0.1892 0.6561
O4 0.2042 0.1846 0.2034
O5 0.3301 0.5000 0.0639
O6 0.3649 0.5000 0.5967

Largest 6 diffraction maxima, most intense first, 2θ = 15–90°:
hkl	d_spacing	two_theta	I/Imax
2 0 0	4.134	21.49	100
0 2 0	3.227	27.64	86
3 1 -2	2.521	35.62	40
1 1 -2	2.564	35.00	38
1 1 -1	4.342	20.45	23
3 1 0	2.535	35.41	21

---

Computed powder XRD pattern of V3O2F5 for Cu Kα (weighted mean of Kα1 and Kα2), from a PBE+U-relaxed structure.

Structure:
a = 6.4278 Å, b = 7.5421 Å, c = 13.7607 Å
α = 90.00°, β = 90.00°, γ = 90.00°
Space group Immm (No. 71)
Symmetry-distinct sites (fractional):
V1 0.0000 0.0000 0.1159
V2 0.2500 0.2500 0.2500
O1 0.2213 0.0000 0.2118
F1 0.0000 0.2268 0.3346
F2 0.0000 0.2750 0.1483
F3 0.1916 0.0000 0.0000

Largest 6 diffraction maxima, most intense first, 2θ = 15–90°:
hkl	d_spacing	two_theta	I/Imax
2 0 4	2.348	38.33	100
0 2 2	3.307	26.96	77
1 1 0	4.892	18.13	54
1 0 1	5.824	15.21	51
2 2 6	1.673	54.88	41
2 4 4	1.470	63.25	35

---

Computed powder XRD pattern of Li7Co5O12 for Cu Kα (weighted mean of Kα1 and Kα2), from a PBE+U-relaxed structure.

Structure:
a = 5.0620 Å, b = 8.4976 Å, c = 9.3783 Å
α = 90.00°, β = 99.14°, γ = 90.00°
Space group C2 (No. 5)
Symmetry-distinct sites (fractional):
Li1 0.0000 0.0000 0.0000
Li2 0.0000 0.1788 0.5000
Li3 0.0000 0.6671 0.0000
Li4 0.2410 0.8376 0.2449
Li5 0.2450 0.5056 0.2446
Co1 0.0000 0.3391 0.0000
Co2 0.0000 0.5074 0.5000
Co3 0.0000 0.8455 0.5000
Co4 0.2493 0.1596 0.2378
O1 0.0831 0.6790 0.3758
O2 0.0910 0.1795 0.8693
O3 0.1255 0.5012 0.8773
O4 0.1504 0.0107 0.3806
O5 0.1516 0.3492 0.3894
O6 0.1582 0.8252 0.8764

Largest 6 diffraction maxima, most intense first, 2θ = 15–90°:
hkl	d_spacing	two_theta	I/Imax
1 1 -1	4.128	21.53	100
1 3 -3	2.004	45.25	71
0 2 2	3.130	28.51	47
2 0 2	2.066	43.82	39
3 3 -1	1.450	64.26	22
1 3 5	1.428	65.36	19

---

Computed powder XRD pattern of RbFe3O5 for Cu Kα (weighted mean of Kα1 and Kα2), from a PBE+U-relaxed structure.

Structure:
a = 3.1132 Å, b = 9.5793 Å, c = 15.5330 Å
α = 90.00°, β = 90.00°, γ = 90.00°
Space group Pmn2_1 (No. 31)
Symmetry-distinct sites (fractional):
Rb1 0.0000 0.2192 0.0000
Rb2 0.0000 0.7210 0.2574
Fe1 0.0000 0.0711 0.1994
Fe2 0.0000 0.1402 0.5437
Fe3 0.0000 0.3929 0.3898
Fe4 0.0000 0.5723 0.0594
Fe5 0.0000 0.6414 0.7151
Fe6 0.0000 0.8954 0.8691
O1 0.0000 0.0159 0.7727
O2 0.0000 0.0255 0.4350
O3 0.0000 0.2279 0.3024
O4 0.0000 0.3134 0.6065
O5 0.0000 0.4435 0.1599
O6 0.0000 0.5194 0.4902
O7 0.0000 0.5286 0.8239
O8 0.0000 0.7321 0.9548
O9 0.0000 0.8146 0.6510
O10 0.0000 0.9430 0.1006

Largest 6 diffraction maxima, most intense first, 2θ = 15–90°:
hkl	d_spacing	two_theta	I/Imax
0 1 5	2.955	30.25	100
0 3 1	3.128	28.54	73
1 2 3	2.331	38.63	62
1 2 4	2.166	41.69	61
2 0 0	1.557	59.37	58
1 1 2	2.767	32.36	54

---

What did the third record say?
Computed powder XRD pattern of Li7Co5O12 for Cu Kα (weighted mean of Kα1 and Kα2), from a PBE+U-relaxed structure.

Structure:
a = 5.0620 Å, b = 8.4976 Å, c = 9.3783 Å
α = 90.00°, β = 99.14°, γ = 90.00°
Space group C2 (No. 5)
Symmetry-distinct sites (fractional):
Li1 0.0000 0.0000 0.0000
Li2 0.0000 0.1788 0.5000
Li3 0.0000 0.6671 0.0000
Li4 0.2410 0.8376 0.2449
Li5 0.2450 0.5056 0.2446
Co1 0.0000 0.3391 0.0000
Co2 0.0000 0.5074 0.5000
Co3 0.0000 0.8455 0.5000
Co4 0.2493 0.1596 0.2378
O1 0.0831 0.6790 0.3758
O2 0.0910 0.1795 0.8693
O3 0.1255 0.5012 0.8773
O4 0.1504 0.0107 0.3806
O5 0.1516 0.3492 0.3894
O6 0.1582 0.8252 0.8764

Largest 6 diffraction maxima, most intense first, 2θ = 15–90°:
hkl	d_spacing	two_theta	I/Imax
1 1 -1	4.128	21.53	100
1 3 -3	2.004	45.25	71
0 2 2	3.130	28.51	47
2 0 2	2.066	43.82	39
3 3 -1	1.450	64.26	22
1 3 5	1.428	65.36	19

---

Repeat the third record exactly.
Computed powder XRD pattern of Li7Co5O12 for Cu Kα (weighted mean of Kα1 and Kα2), from a PBE+U-relaxed structure.

Structure:
a = 5.0620 Å, b = 8.4976 Å, c = 9.3783 Å
α = 90.00°, β = 99.14°, γ = 90.00°
Space group C2 (No. 5)
Symmetry-distinct sites (fractional):
Li1 0.0000 0.0000 0.0000
Li2 0.0000 0.1788 0.5000
Li3 0.0000 0.6671 0.0000
Li4 0.2410 0.8376 0.2449
Li5 0.2450 0.5056 0.2446
Co1 0.0000 0.3391 0.0000
Co2 0.0000 0.5074 0.5000
Co3 0.0000 0.8455 0.5000
Co4 0.2493 0.1596 0.2378
O1 0.0831 0.6790 0.3758
O2 0.0910 0.1795 0.8693
O3 0.1255 0.5012 0.8773
O4 0.1504 0.0107 0.3806
O5 0.1516 0.3492 0.3894
O6 0.1582 0.8252 0.8764

Largest 6 diffraction maxima, most intense first, 2θ = 15–90°:
hkl	d_spacing	two_theta	I/Imax
1 1 -1	4.128	21.53	100
1 3 -3	2.004	45.25	71
0 2 2	3.130	28.51	47
2 0 2	2.066	43.82	39
3 3 -1	1.450	64.26	22
1 3 5	1.428	65.36	19